(1)
# Pr8Ga2Rh
Calculated PXRD pattern, Cu Kα (weighted mean of Kα1 and Kα2). Input: DFT lattice parameters and positions (GGA-PBE).
Kinematic intensities with the Lorentz-polarization factor, no thermal factor.

Structural model:
Lattice parameters (Å, degrees): 9.7476 9.7476 6.9895 100.55 100.55 30.30
Sites, in units of the cell vectors:
Pr  0.0219  0.0219  0.2786
Pr  0.2086  0.2086  0.8094
Pr  0.3471  0.3471  0.5253
Pr  0.4075  0.4075  0.0426
Pr  0.5925  0.5925  0.9574
Pr  0.6529  0.6529  0.4747
Pr  0.7914  0.7914  0.1906
Pr  0.9781  0.9781  0.7214
Ga  0.1883  0.1883  0.2455
Ga  0.8117  0.8117  0.7545
Rh  0.5000  0.5000  0.5000

The 6 most intense peaks (2θ = 10–90°), by angle:
Position (°2θ)	I_rel
27.50	52
29.87	86
30.72	44
31.03	99
32.56	100
35.23	94

***

(2)
# PaBeSi2Ni
Calculated PXRD pattern, Cu Kα (weighted mean of Kα1 and Kα2). Input: DFT lattice parameters and positions (GGA-PBE).
Kinematic intensities with the Lorentz-polarization factor, no thermal factor.

Structural model:
Lattice parameters (Å, degrees): 5.5238 5.5238 5.5238 138.39 138.39 60.31
Sites, in units of the cell vectors:
Pa  0.0000  0.0000  0.0000
Be  0.7500  0.2500  0.5000
Si  0.3762  0.3762  0.0000
Si  0.6238  0.6238  0.0000
Ni  0.2500  0.7500  0.5000

The 6 most intense peaks (2θ = 10–90°), by angle:
Position (°2θ)	I_rel
24.53	100
32.26	31
36.33	74
37.49	82
46.27	32
60.21	35

***

(3)
# Pr2Sm5Ho4
Calculated PXRD pattern, Cu Kα (weighted mean of Kα1 and Kα2). Input: DFT lattice parameters and positions (GGA-PBE).
Kinematic intensities with the Lorentz-polarization factor, no thermal factor.

Structural model:
Lattice parameters (Å, degrees): 11.9636 11.9636 8.8363 104.26 104.26 17.34
Sites, in units of the cell vectors:
Pr  0.0899  0.0899  0.2246
Pr  0.9101  0.9101  0.7754
Sm  0.0000  0.0000  0.5000
Sm  0.2727  0.2727  0.6859
Sm  0.3632  0.3632  0.4057
Sm  0.6368  0.6368  0.5943
Sm  0.7273  0.7273  0.3141
Ho  0.1821  0.1821  0.9541
Ho  0.4530  0.4530  0.1365
Ho  0.5470  0.5470  0.8635
Ho  0.8179  0.8179  0.0459

The 6 most intense peaks (2θ = 10–90°), by angle:
Position (°2θ)	I_rel
30.35	100
35.19	51
50.61	36
60.16	43
82.41	18
85.04	16

***

(4)
# TbCeU2P4
Calculated PXRD pattern, Cu Kα (weighted mean of Kα1 and Kα2). Input: DFT lattice parameters and positions (GGA-PBE).
Kinematic intensities with the Lorentz-polarization factor, no thermal factor.

Structural model:
Lattice parameters (Å, degrees): 6.8842 3.9726 7.0018 90.00 109.12 90.00
Sites, in units of the cell vectors:
Tb  0.0000  0.0000  0.0000
Ce  0.5000  0.5000  0.0000
U  0.0000  0.5000  0.5000
U  0.5000  0.0000  0.5000
P  0.2446  0.0000  0.7405
P  0.2509  0.5000  0.2585
P  0.7491  0.5000  0.7415
P  0.7554  0.0000  0.2595

The 6 most intense peaks (2θ = 10–90°), by angle:
Position (°2θ)	I_rel
26.96	25
27.43	73
31.64	100
45.05	38
45.66	36
53.83	24

***

(5)
# Pr6Mg5In
Calculated PXRD pattern, Cu Kα (weighted mean of Kα1 and Kα2). Input: DFT lattice parameters and positions (GGA-PBE).
Kinematic intensities with the Lorentz-polarization factor, no thermal factor.

Structural model:
Lattice parameters (Å, degrees): 8.7527 8.7527 7.8199 90.00 90.00 143.20
Sites, in units of the cell vectors:
Pr  0.0000  0.0000  0.2485
Pr  0.0000  0.0000  0.7515
Pr  0.3336  0.6664  0.2499
Pr  0.3336  0.6664  0.7501
Pr  0.6664  0.3336  0.2499
Pr  0.6664  0.3336  0.7501
Mg  0.1667  0.8333  0.5000
Mg  0.1688  0.8312  0.0000
Mg  0.5000  0.5000  0.5000
Mg  0.8312  0.1688  0.0000
Mg  0.8333  0.1667  0.5000
In  0.5000  0.5000  0.0000

The 6 most intense peaks (2θ = 10–90°), by angle:
Position (°2θ)	I_rel
22.74	37
32.37	100
46.44	18
52.31	16
57.75	38
77.12	13

***

(6)
# KAg3Br4
Calculated PXRD pattern, Cu Kα (weighted mean of Kα1 and Kα2). Input: DFT lattice parameters and positions (GGA-PBE).
Kinematic intensities with the Lorentz-polarization factor, no thermal factor.

Structural model:
Lattice parameters (Å, degrees): 7.8833 7.8833 7.8833 90.00 90.00 90.00
Sites, in units of the cell vectors:
K  0.0000  0.0000  0.0000
K  0.5000  0.5000  0.5000
Ag  0.0000  0.2500  0.5000
Ag  0.0000  0.7500  0.5000
Ag  0.2500  0.5000  0.0000
Ag  0.5000  0.0000  0.2500
Ag  0.5000  0.0000  0.7500
Ag  0.7500  0.5000  0.0000
Br  0.2500  0.2500  0.2500
Br  0.2500  0.2500  0.7500
Br  0.2500  0.7500  0.2500
Br  0.2500  0.7500  0.7500
Br  0.7500  0.2500  0.2500
Br  0.7500  0.2500  0.7500
Br  0.7500  0.7500  0.2500
Br  0.7500  0.7500  0.7500

The 6 most intense peaks (2θ = 10–90°), by angle:
Position (°2θ)	I_rel
25.26	100
27.72	37
32.11	35
39.60	77
46.05	47
67.17	29

***

(7)
# AcPuZn10
Calculated PXRD pattern, Cu Kα (weighted mean of Kα1 and Kα2). Input: DFT lattice parameters and positions (GGA-PBE).
Kinematic intensities with the Lorentz-polarization factor, no thermal factor.

Structural model:
Lattice parameters (Å, degrees): 4.2873 5.4619 9.4835 90.00 90.00 90.00
Sites, in units of the cell vectors:
Ac  0.0000  0.0000  0.0000
Pu  0.0000  0.5000  0.5000
Zn  0.0000  0.0000  0.3430
Zn  0.0000  0.0000  0.6570
Zn  0.0000  0.5000  0.1783
Zn  0.0000  0.5000  0.8217
Zn  0.5000  0.0000  0.5000
Zn  0.5000  0.2556  0.2595
Zn  0.5000  0.2556  0.7405
Zn  0.5000  0.5000  0.0000
Zn  0.5000  0.7444  0.2595
Zn  0.5000  0.7444  0.7405

The 6 most intense peaks (2θ = 10–90°), by angle:
Position (°2θ)	I_rel
28.07	63
32.75	36
38.00	38
39.07	100
42.15	24
58.04	22

***

(8)
# Hf2Mg2Sc7
Calculated PXRD pattern, Cu Kα (weighted mean of Kα1 and Kα2). Input: DFT lattice parameters and positions (GGA-PBE).
Kinematic intensities with the Lorentz-polarization factor, no thermal factor.

Structural model:
Lattice parameters (Å, degrees): 9.5191 9.5191 9.5191 160.29 71.42 112.16
Sites, in units of the cell vectors:
Hf  0.1140  0.0000  0.1140
Hf  0.8860  0.0000  0.8860
Mg  0.4944  0.9944  0.5000
Mg  0.7446  0.7446  0.0000
Sc  0.0666  0.7353  0.3313
Sc  0.2348  0.2348  0.0000
Sc  0.2956  0.5022  0.7934
Sc  0.4040  0.7353  0.6687
Sc  0.5979  0.2655  0.3324
Sc  0.7088  0.5022  0.2066
Sc  0.9331  0.2655  0.6676

The 6 most intense peaks (2θ = 10–90°), by angle:
Position (°2θ)	I_rel
10.10	100
28.61	26
30.10	29
33.75	30
36.76	53
44.44	24

***

(9)
# NpPa3P4N12
Calculated PXRD pattern, Cu Kα (weighted mean of Kα1 and Kα2). Input: DFT lattice parameters and positions (GGA-PBE).
Kinematic intensities with the Lorentz-polarization factor, no thermal factor.

Structural model:
Lattice parameters (Å, degrees): 6.9227 6.9227 6.9227 103.64 103.64 103.64
Sites, in units of the cell vectors:
Np  0.0000  0.0000  0.0000
Pa  0.0000  0.5402  0.4598
Pa  0.4598  0.0000  0.5402
Pa  0.5402  0.4598  0.0000
P  0.0413  0.5000  0.9587
P  0.5000  0.5000  0.5000
P  0.5000  0.9587  0.0413
P  0.9587  0.0413  0.5000
N  0.0266  0.6404  0.8081
N  0.1057  0.8943  0.5000
N  0.1919  0.3596  0.9734
N  0.3536  0.6464  0.5000
N  0.3596  0.9734  0.1919
N  0.5000  0.1057  0.8943
N  0.5000  0.3536  0.6464
N  0.6404  0.8081  0.0266
N  0.6464  0.5000  0.3536
N  0.8081  0.0266  0.6404
N  0.8943  0.5000  0.1057
N  0.9734  0.1919  0.3596

The 6 most intense peaks (2θ = 10–90°), by angle:
Position (°2θ)	I_rel
21.44	92
27.89	100
32.92	41
43.67	18
45.68	27
45.88	26

***

(10)
# Pm2Zn16Cd
Calculated PXRD pattern, Cu Kα (weighted mean of Kα1 and Kα2). Input: DFT lattice parameters and positions (GGA-PBE).
Kinematic intensities with the Lorentz-polarization factor, no thermal factor.

Structural model:
Lattice parameters (Å, degrees): 6.8758 6.8758 6.8758 82.82 82.82 82.82
Sites, in units of the cell vectors:
Pm  0.0000  0.0000  0.0000
Pm  0.3239  0.3239  0.3239
Zn  0.0145  0.0145  0.5002
Zn  0.0145  0.5002  0.0145
Zn  0.1562  0.6665  0.6665
Zn  0.3098  0.3098  0.8285
Zn  0.3098  0.8285  0.3098
Zn  0.3660  0.6632  0.9609
Zn  0.3660  0.9609  0.6632
Zn  0.5002  0.0145  0.0145
Zn  0.6632  0.3660  0.9609
Zn  0.6632  0.9609  0.3660
Zn  0.6665  0.1562  0.6665
Zn  0.6665  0.6665  0.1562
Zn  0.7694  0.7694  0.7694
Zn  0.8285  0.3098  0.3098
Zn  0.9609  0.3660  0.6632
Zn  0.9609  0.6632  0.3660
Cd  0.5650  0.5650  0.5650

The 6 most intense peaks (2θ = 10–90°), by angle:
Position (°2θ)	I_rel
34.15	46
35.30	31
39.63	67
39.89	100
40.66	52
44.78	36

***

(11)
# PrY6Tl
Calculated PXRD pattern, Cu Kα (weighted mean of Kα1 and Kα2). Input: DFT lattice parameters and positions (GGA-PBE).
Kinematic intensities with the Lorentz-polarization factor, no thermal factor.

Structural model:
Lattice parameters (Å, degrees): 6.3776 6.3776 6.3776 94.51 94.51 94.51
Sites, in units of the cell vectors:
Pr  0.0000  0.0000  0.0000
Y  0.0473  0.2600  0.5374
Y  0.2600  0.5374  0.0473
Y  0.4626  0.9527  0.7400
Y  0.5374  0.0473  0.2600
Y  0.7400  0.4626  0.9527
Y  0.9527  0.7400  0.4626
Tl  0.5000  0.5000  0.5000

The 6 most intense peaks (2θ = 10–90°), by angle:
Position (°2θ)	I_rel
28.17	59
30.46	58
32.67	37
33.13	39
34.17	100
37.16	30

***

(12)
# Na2MgGa3Ge4
Calculated PXRD pattern, Cu Kα (weighted mean of Kα1 and Kα2). Input: DFT lattice parameters and positions (GGA-PBE).
Kinematic intensities with the Lorentz-polarization factor, no thermal factor.

Structural model:
Lattice parameters (Å, degrees): 4.4978 4.4978 10.7684 90.00 90.00 90.00
Sites, in units of the cell vectors:
Na  0.0000  0.5000  0.2441
Na  0.5000  0.0000  0.7559
Mg  0.0000  0.0000  0.5000
Ga  0.0000  0.5000  0.8701
Ga  0.5000  0.0000  0.1299
Ga  0.5000  0.5000  0.5000
Ge  0.0000  0.0000  0.0000
Ge  0.0000  0.5000  0.6389
Ge  0.5000  0.0000  0.3611
Ge  0.5000  0.5000  0.0000

The 6 most intense peaks (2θ = 10–90°), by angle:
Position (°2θ)	I_rel
21.41	84
31.90	48
32.70	100
40.09	90
44.07	93
75.61	36